Starting from a GGA-PBE-relaxed structure, the powder X-ray diffraction pattern of Na2Ca5TiSi4O16F2 was computed for Cu Kα, 1.54184 Å.
Lines closer than 0.1° are merged.

Crystal structure
Lattice parameters (Å, degrees): 5.8098 7.4274 9.7894 100.98 101.81 90.03
Space group P1 (No. 1)
Inequivalent atoms, fractional coordinates:
Na 0.0000 0.0000 0.0000 (multiplicity 1)
Na 0.2066 0.9079 0.6473 (multiplicity 1)
Ca 0.0124 0.4955 0.0011 (multiplicity 1)
Ca 0.3940 0.8257 0.2865 (multiplicity 1)
Ca 0.4073 0.3232 0.2863 (multiplicity 1)
Ca 0.7026 0.6473 0.6348 (multiplicity 1)
Ca 0.7156 0.1759 0.6627 (multiplicity 1)
Ti 0.2046 0.4088 0.6390 (multiplicity 1)
Si 0.4650 0.1967 0.9211 (multiplicity 1)
Si 0.4691 0.7605 0.9301 (multiplicity 1)
Si 0.9411 0.0607 0.3572 (multiplicity 1)
Si 0.9435 0.6287 0.3659 (multiplicity 1)
O 0.0031 0.1967 0.5165 (multiplicity 1)
O 0.0414 0.5832 0.5265 (multiplicity 1)
O 0.1069 0.5466 0.2547 (multiplicity 1)
O 0.1262 0.0846 0.2579 (multiplicity 1)
O 0.3057 0.7311 0.0400 (multiplicity 1)
O 0.3204 0.2903 0.0380 (multiplicity 1)
O 0.3558 0.2324 0.7586 (multiplicity 1)
O 0.3944 0.6325 0.7690 (multiplicity 1)
O 0.4247 0.9707 0.8987 (multiplicity 1)
O 0.4544 0.3775 0.5427 (multiplicity 1)
O 0.6623 0.0717 0.2918 (multiplicity 1)
O 0.6617 0.5852 0.3289 (multiplicity 1)
O 0.7436 0.2481 0.9439 (multiplicity 1)
O 0.7478 0.7321 0.9852 (multiplicity 1)
O 0.9573 0.4463 0.7487 (multiplicity 1)
O 0.9987 0.8551 0.3991 (multiplicity 1)
F 0.5101 0.8936 0.5354 (multiplicity 1)
F 0.8947 0.9263 0.7457 (multiplicity 1)

Main lines, sorted by position (15 to 90 degrees two-theta):
- 3.132 Å, 2θ 28.50, I 78.2, (0 0 3)
- 3.015 Å, 2θ 29.63, I 100.0, (1 -2 1)
- 3.011 Å, 2θ 29.67, I 74.3, (1 2 0)
- 2.692 Å, 2θ 33.28, I 42.3, (2 0 -2)
- 2.542 Å, 2θ 35.30, I 25.0, (1 2 -3)
- 1.926 Å, 2θ 47.18, I 55.8, (1 2 3)
- 1.857 Å, 2θ 49.06, I 36.2, (0 4 -1)
- 1.710 Å, 2θ 53.59, I 37.1, (-3 2 1)